[1]
Diffraction record for Mg3ScI. The powder X-ray diffraction pattern is computed, not measured: it uses DFT lattice parameters and positions (GGA-PBE) and CuKα.

Atomic structure:
Cell: 5.9535 5.9535 5.9535 Å, 90.00 90.00 90.00°
Positions (direct):
1 Mg 0.0000 0.0000 0.5000
2 Mg 0.0000 0.5000 0.0000
3 Mg 0.5000 0.0000 0.0000
4 Sc 0.0000 0.0000 0.0000
5 I 0.5000 0.5000 0.5000

Largest 10 diffraction maxima, in order of rising 2θ, 2θ from 15° to 90°:
- 21.10 deg, intensity 100
- 25.92 deg, intensity 47
- 30.02 deg, intensity 60
- 36.99 deg, intensity 46
- 42.97 deg, intensity 44
- 48.34 deg, intensity 21
- 50.87 deg, intensity 22
- 53.30 deg, intensity 15
- 57.96 deg, intensity 24
- 70.77 deg, intensity 19

[2]
Diffraction record for SrMgSn2I. The powder X-ray diffraction pattern is computed, not measured: it uses DFT lattice parameters and positions (GGA-PBE) and CuKα.

Atomic structure:
Cell: 6.3000 6.3000 6.5364 Å, 90.00 90.00 90.00°
Positions (direct):
1 Sr 0.0000 0.0000 0.0000
2 Mg 0.0000 0.0000 0.5000
3 Sn 0.0000 0.5000 0.0000
4 Sn 0.5000 0.0000 0.0000
5 I 0.5000 0.5000 0.5000

Largest 10 diffraction maxima, in order of rising 2θ, 2θ from 15° to 90°:
- 19.57 deg, intensity 63
- 24.18 deg, intensity 100
- 27.29 deg, intensity 46
- 28.33 deg, intensity 84
- 34.67 deg, intensity 30
- 39.74 deg, intensity 68
- 40.50 deg, intensity 32
- 47.72 deg, intensity 33
- 49.52 deg, intensity 36
- 73.16 deg, intensity 23

[3]
Diffraction record for SrMg5I12. The powder X-ray diffraction pattern is computed, not measured: it uses DFT lattice parameters and positions (GGA-PBE) and CuKα.

Atomic structure:
Cell: 7.4425 7.4425 15.8585 Å, 90.03 90.03 120.02°
Positions (direct):
1 Sr 0.0000 0.0000 0.0000
2 Mg 0.1668 0.8332 0.5000
3 Mg 0.3334 0.6666 0.0000
4 Mg 0.5000 0.5000 0.5000
5 Mg 0.6666 0.3334 0.0000
6 Mg 0.8332 0.1668 0.5000
7 I 0.0004 0.3659 0.1112
8 I 0.9996 0.6341 0.8888
9 I 0.1664 0.1664 0.3960
10 I 0.1669 0.5002 0.6040
11 I 0.3653 0.3653 0.8887
12 I 0.3659 0.0004 0.1112
13 I 0.5002 0.1669 0.6040
14 I 0.4998 0.8331 0.3960
15 I 0.6341 0.9996 0.8888
16 I 0.6347 0.6347 0.1113
17 I 0.8331 0.4998 0.3960
18 I 0.8336 0.8336 0.6040

Largest 10 diffraction maxima, in order of rising 2θ, 2θ from 15° to 90°:
- 22.43 deg, intensity 31
- 24.58 deg, intensity 34
- 26.46 deg, intensity 100
- 29.35 deg, intensity 46
- 33.02 deg, intensity 24
- 37.25 deg, intensity 23
- 41.93 deg, intensity 22
- 42.47 deg, intensity 30
- 51.38 deg, intensity 14
- 52.12 deg, intensity 17

[4]
Diffraction record for SrMg2I6. The powder X-ray diffraction pattern is computed, not measured: it uses DFT lattice parameters and positions (GGA-PBE) and CuKα.

Atomic structure:
Cell: 10.2239 10.2239 9.5539 Å, 107.06 107.06 24.55°
Positions (direct):
1 Sr 0.0000 0.0000 0.0000
2 Mg 0.3281 0.3281 0.6578
3 Mg 0.6719 0.6719 0.3422
4 I 0.1725 0.1725 0.1276
5 I 0.1745 0.1745 0.5585
6 I 0.4843 0.4843 0.7372
7 I 0.5157 0.5157 0.2628
8 I 0.8255 0.8255 0.4415
9 I 0.8275 0.8275 0.8724

Largest 10 diffraction maxima, in order of rising 2θ, 2θ from 15° to 90°:
- 22.59 deg, intensity 39
- 24.04 deg, intensity 30
- 24.82 deg, intensity 67
- 27.77 deg, intensity 100
- 28.09 deg, intensity 50
- 39.01 deg, intensity 35
- 40.80 deg, intensity 29
- 41.55 deg, intensity 19
- 47.79 deg, intensity 23
- 50.91 deg, intensity 19

[5]
Diffraction record for TbMg2I6. The powder X-ray diffraction pattern is computed, not measured: it uses DFT lattice parameters and positions (GGA-PBE) and CuKα.

Atomic structure:
Cell: 9.0641 9.0641 9.0641 Å, 51.90 51.90 51.90°
Positions (direct):
1 Tb 0.0000 0.0000 0.0000
2 Mg 0.6060 0.6060 0.6060
3 Mg 0.7308 0.7308 0.7308
4 I 0.0807 0.7751 0.3871
5 I 0.2255 0.6157 0.9147
6 I 0.3871 0.0807 0.7751
7 I 0.6157 0.9147 0.2255
8 I 0.7751 0.3871 0.0807
9 I 0.9147 0.2255 0.6157

Largest 10 diffraction maxima, in order of rising 2θ, 2θ from 15° to 90°:
- 22.74 deg, intensity 20
- 25.17 deg, intensity 100
- 32.14 deg, intensity 29
- 39.35 deg, intensity 28
- 41.44 deg, intensity 26
- 45.92 deg, intensity 14
- 47.28 deg, intensity 15
- 58.47 deg, intensity 8
- 62.45 deg, intensity 13
- 63.15 deg, intensity 11

[6]
Diffraction record for MgZnI4. The powder X-ray diffraction pattern is computed, not measured: it uses DFT lattice parameters and positions (GGA-PBE) and CuKα.

Atomic structure:
Cell: 8.6195 8.6195 7.2163 Å, 114.14 114.14 27.75°
Positions (direct):
1 Mg 0.0000 0.0000 0.0000
2 Zn 0.5000 0.5000 0.5000
3 I 0.1080 0.1080 0.4440
4 I 0.3902 0.3902 0.0637
5 I 0.6098 0.6098 0.9363
6 I 0.8920 0.8920 0.5560

Largest 10 diffraction maxima, in order of rising 2θ, 2θ from 15° to 90°:
- 23.44 deg, intensity 44
- 27.25 deg, intensity 49
- 27.46 deg, intensity 95
- 27.56 deg, intensity 100
- 34.10 deg, intensity 32
- 34.50 deg, intensity 63
- 43.53 deg, intensity 45
- 43.67 deg, intensity 44
- 43.93 deg, intensity 23
- 80.36 deg, intensity 23